# K2NaPdO4
Computed powder XRD pattern, copper Kα. Input: a cell relaxed with GGA-PBE.

Top 10 peaks for 5 to 70 degrees two-theta, in order of falling intensity:
| Position (°2θ) | I (rel.) |
| --- | --- |
| 21.23 | 100 |
| 31.52 | 91 |
| 15.74 | 74 |
| 19.08 | 44 |
| 48.91 | 32 |
| 27.80 | 28 |
| 48.54 | 27 |
| 25.19 | 24 |
| 39.91 | 18 |
| 50.43 | 17 |

Structure:
```
16
Lattice="0.0000 7.0695 9.3034 3.0957 0.0000 9.3034 3.0957 7.0695 0.0000" Properties=species:S:1:pos:R:3 pbc="T T T"
K 2.3217 5.3021 0.7919
K 3.8696 8.8369 5.4436
K 2.3217 5.3021 13.1631
K 3.8696 8.8369 17.8148
Na 0.7739 1.7674 2.3258
Na 5.4174 12.3716 16.2809
Pd 2.3217 5.3021 6.9775
Pd 3.8696 8.8369 11.6292
O 3.6662 3.9711 7.3011
O 3.6662 6.6331 6.6540
O 5.2140 7.5059 11.3057
O 0.9773 3.9711 6.6540
O 5.2140 10.1679 11.9528
O 0.9773 6.6331 7.3011
O 2.5252 7.5059 11.9528
O 2.5252 10.1679 11.3057
```